Diffraction record for LiIn2SnHg2. The PXRD pattern is computed, not measured: it uses DFT lattice parameters and positions (GGA-PBE) and λ = 1.5418 Å (Cu Kα).
Neutral-atom scattering factors, no anomalous dispersion.

Atomic structure:
```
data_LiIn2SnHg2
_chemical_formula_sum 'Li1 In2 Sn1 Hg2'
_cell_length_a 8.143
_cell_length_b 8.143
_cell_length_c 8.143
_cell_angle_alpha 34.65
_cell_angle_beta 34.65
_cell_angle_gamma 34.65
_symmetry_space_group_name_H-M 'P 1'
_symmetry_Int_Tables_number 1
_symmetry_space_group_name_Hall 'P 1'
loop_
_atom_site_label
_atom_site_type_symbol
_atom_site_fract_x
_atom_site_fract_y
_atom_site_fract_z
Li1 Li 0.000 0.000 0.000
In1 In 0.228 0.228 0.228
In2 In 0.772 0.772 0.772
Sn1 Sn 0.500 0.500 0.500
Hg1 Hg 0.365 0.365 0.365
Hg2 Hg 0.635 0.635 0.635
```

Main lines, sorted by position (2θ = 10–90°):
- 4.131 Å, 2θ 21.5, rel. 82.0
- 2.584 Å, 2θ 34.7, rel. 96.1
- 2.425 Å, 2θ 37.1, rel. 100.0
- 2.368 Å, 2θ 38.0, rel. 55.7
- 1.768 Å, 2θ 51.7, rel. 31.2
- 1.429 Å, 2θ 65.3, rel. 31.0
- 1.389 Å, 2θ 67.4, rel. 21.1
- 1.293 Å, 2θ 73.2, rel. 24.9